Starting from a GGA+U-relaxed structure, the X-ray powder pattern of Sr5La5CuNi4O20 was calculated for copper Kα.
Neutral-atom scattering factors, no anomalous dispersion.

Structure:
```
data_Sr5La5CuNi4O20
_chemical_formula_sum 'Sr5 La5 Cu1 Ni4 O20'
_symmetry_space_group_name_H-M 'P 1'
_symmetry_Int_Tables_number 1
_symmetry_space_group_name_Hall 'P 1'
_cell_length_a 6.876
_cell_length_b 8.619
_cell_length_c 8.631
_cell_angle_alpha 89.95
_cell_angle_beta 82.72
_cell_angle_gamma 67.78
loop_
_atom_site_label
_atom_site_type_symbol
_atom_site_fract_x
_atom_site_fract_y
_atom_site_fract_z
_atom_site_occupancy
Sr1 Sr 0.000 0.000 0.000 1
Sr2 Sr 0.000 0.201 0.400 1
Sr3 Sr 0.001 0.399 0.800 1
Sr4 Sr 0.002 0.598 0.201 1
Sr5 Sr 0.572 0.629 0.543 1
La1 La 0.012 0.795 0.599 1
La2 La 0.560 0.232 0.744 1
La3 La 0.561 0.433 0.143 1
La4 La 0.562 0.030 0.343 1
La5 La 0.562 0.829 0.945 1
Cu1 Cu 0.282 0.015 0.672 1
Ni1 Ni 0.272 0.217 0.074 1
Ni2 Ni 0.277 0.615 0.872 1
Ni3 Ni 0.278 0.817 0.271 1
Ni4 Ni 0.283 0.416 0.472 1
O1 O 0.286 0.014 0.172 1
O2 O 0.286 0.714 0.070 1
O3 O 0.289 0.410 0.972 1
O4 O 0.290 0.818 0.768 1
O5 O 0.290 0.917 0.477 1
O6 O 0.292 0.512 0.670 1
O7 O 0.294 0.312 0.274 1
O8 O 0.294 0.615 0.370 1
O9 O 0.295 0.205 0.574 1
O10 O 0.298 0.106 0.864 1
O11 O 0.606 0.309 0.438 1
O12 O 0.608 0.115 0.042 1
O13 O 0.610 0.514 0.850 1
O14 O 0.611 0.723 0.227 1
O15 O 0.643 0.913 0.636 1
O16 O 0.927 0.117 0.706 1
O17 O 0.938 0.318 0.107 1
O18 O 0.940 0.721 0.893 1
O19 O 0.941 0.914 0.317 1
O20 O 0.965 0.520 0.507 1
```

Largest 8 diffraction maxima, sorted by position, 2θ from 10° to 90°:
24.13 deg, d 3.688, I 21.2, hkl 0 2 -1
31.45 deg, d 2.844, I 69.9, hkl 2 1 2
31.50 deg, d 2.840, I 69.3, hkl -1 1 2
32.84 deg, d 2.727, I 100.0, hkl 1 3 1
42.82 deg, d 2.112, I 20.6, hkl 3 1 2
43.87 deg, d 2.064, I 28.3, hkl 3 3 1
47.12 deg, d 1.929, I 52.0, hkl 1 2 4
57.74 deg, d 1.597, I 31.8, hkl 2 3 -4